No. 1
Diffraction record for Mn2NiBi3O9. The X-ray powder pattern is computed, not measured: it uses a structure optimized by DFT (PBE+U) and Cu Kα, 1.54184 Å.
Neutral-atom scattering factors, no anomalous dispersion.

Peak list (10 most intense, 10° ≤ 2θ ≤ 90°, low angle first)
2theta  intensity
22.58  31.1
22.86  17.6
31.72  22.1
32.35  100.0
32.58  24.2
39.46  13.5
40.17  15.8
46.11  25.5
56.91  19.2
57.99  19.1

Cell and atoms:
```
30
Lattice="4.762 -2.821 0.000 4.762 2.821 0.000 -0.013 0.000 13.472" Properties=species:S:1:pos:R:3 pbc="T T T"
Mn 1.566 0.016 2.254
Mn 1.560 -0.016 8.990
Mn 7.952 0.016 4.482
Mn 7.945 -0.016 11.219
Ni 4.762 0.000 0.000
Ni 4.756 0.000 6.736
Bi 1.619 0.147 5.676
Bi 1.613 -0.147 12.412
Bi 4.753 0.149 10.104
Bi 4.759 -0.149 3.368
Bi 7.899 0.147 1.060
Bi 7.892 -0.147 7.797
O 2.720 1.406 9.853
O 4.759 2.296 3.368
O 3.600 1.420 5.851
O 4.345 1.421 12.068
O 3.077 0.506 1.157
O 5.160 1.421 8.141
O 5.918 1.420 0.885
O 3.071 -0.506 7.893
O 6.785 1.406 10.356
O 2.727 -1.406 3.116
O 6.441 0.506 5.579
O 3.594 -1.420 12.587
O 4.352 -1.421 5.331
O 6.434 -0.506 12.316
O 5.166 -1.421 1.405
O 5.911 -1.420 7.621
O 4.753 -2.296 10.104
O 6.791 -1.406 3.620
```

---

No. 2
Diffraction record for KMgNi2H3Se2O10. The X-ray powder pattern is computed, not measured: it uses a structure optimized by DFT (PBE+U) and Cu Kα, 1.54184 Å.
Neutral-atom scattering factors, no anomalous dispersion.

Peak list (10 most intense, 10° ≤ 2θ ≤ 90°, low angle first)
2theta  intensity
17.60  81.8
22.64  87.6
25.03  34.9
26.23  74.1
29.28  100.0
30.57  34.9
30.74  42.1
34.37  41.9
42.33  38.0
50.42  29.7

Cell and atoms:
```
19
Lattice="5.820 0.000 0.000 -2.587 5.336 0.000 -0.903 -2.733 7.220" Properties=species:S:1:pos:R:3 pbc="T T T"
K 0.000 0.000 0.000
Mg -0.296 1.658 5.759
Ni 0.991 0.849 3.380
Ni 2.624 3.332 3.610
H -0.853 -0.372 5.091
H 3.116 1.236 1.697
H 3.653 0.864 3.160
Se -0.199 3.382 1.671
Se 1.895 -0.945 5.792
O -0.806 0.128 4.248
O -0.659 3.559 0.074
O -0.207 1.736 1.996
O -1.766 3.114 5.144
O -1.459 4.201 2.516
O 0.850 0.121 6.597
O 2.435 -1.945 7.089
O 1.213 2.322 4.593
O 1.290 4.031 2.046
O 2.929 1.357 2.674
```

---

No. 3
Diffraction record for Ni5As2O12. The X-ray powder pattern is computed, not measured: it uses a structure optimized by DFT (PBE+U) and Cu Kα, 1.54184 Å.
Neutral-atom scattering factors, no anomalous dispersion.

Peak list (10 most intense, 10° ≤ 2θ ≤ 90°, low angle first)
2theta  intensity
19.00  88.1
27.42  30.4
27.75  40.9
30.43  44.0
33.48  30.8
35.31  56.0
35.90  100.0
44.51  45.7
62.99  60.2
63.40  36.0

Cell and atoms:
```
19
Lattice="4.704 -4.430 0.000 4.704 4.430 0.000 -0.605 0.000 5.083" Properties=species:S:1:pos:R:3 pbc="T T T"
Ni 0.000 0.000 0.000
Ni 4.402 2.861 2.542
Ni 4.704 1.438 0.000
Ni 4.704 -1.438 0.000
Ni 4.402 -2.861 2.542
As 2.704 0.000 2.271
As 6.099 0.000 2.813
O 3.770 2.947 0.718
O 0.966 0.000 1.982
O 3.101 1.408 3.170
O 5.033 2.947 4.366
O 3.461 0.000 0.696
O 5.702 1.408 1.914
O 3.101 -1.408 3.170
O 5.342 0.000 4.388
O 3.770 -2.947 0.718
O 5.702 -1.408 1.914
O 7.837 0.000 3.101
O 5.033 -2.947 4.366
```

---

No. 4
Diffraction record for Mn3NiP4O16. The X-ray powder pattern is computed, not measured: it uses a structure optimized by DFT (PBE+U) and Cu Kα, 1.54184 Å.
Neutral-atom scattering factors, no anomalous dispersion.

Peak list (10 most intense, 10° ≤ 2θ ≤ 90°, low angle first)
2theta  intensity
18.05  71.3
20.48  99.8
23.53  22.9
25.46  93.1
30.01  25.1
30.20  83.1
36.44  100.0
36.77  32.9
52.30  24.4
57.79  24.4

Cell and atoms:
```
24
Lattice="4.833 0.000 0.000 0.000 5.918 0.000 -0.022 0.000 9.831" Properties=species:S:1:pos:R:3 pbc="T T T"
Mn 0.000 0.000 0.000
Mn 0.467 2.959 4.361
Mn 2.917 0.000 4.957
Ni 2.409 2.959 9.380
P 0.623 0.000 3.138
P 2.181 0.000 8.081
P 3.038 2.959 6.195
P 4.662 2.959 1.281
O 0.973 0.000 1.642
O 1.327 1.196 3.870
O 1.327 4.721 3.870
O 1.334 2.959 1.175
O 1.449 1.190 8.798
O 1.449 4.728 8.798
O 1.514 2.959 5.973
O 1.884 0.000 6.570
O 3.380 2.959 7.666
O 3.712 0.000 8.261
O 3.747 1.765 5.434
O 3.747 4.152 5.434
O 3.932 0.000 3.325
O 3.949 1.750 0.542
O 3.949 4.168 0.542
O 4.242 2.959 2.772
```

---

No. 5
Diffraction record for NaCrP2O7. The X-ray powder pattern is computed, not measured: it uses a structure optimized by DFT (PBE+U) and Cu Kα, 1.54184 Å.
Neutral-atom scattering factors, no anomalous dispersion.

Peak list (10 most intense, 10° ≤ 2θ ≤ 90°, low angle first)
2theta  intensity
17.17  48.4
22.03  15.3
22.78  27.7
25.86  12.1
26.01  24.2
28.35  39.6
28.64  27.0
30.01  100.0
34.75  15.4
39.17  15.0

Cell and atoms:
```
44
Lattice="7.367 0.000 0.000 0.000 7.982 0.000 -3.533 0.000 8.949" Properties=species:S:1:pos:R:3 pbc="T T T"
Na 0.816 0.173 1.827
Na -0.951 3.818 6.302
Na 4.785 4.164 2.648
Na 3.019 7.810 7.122
Cr -0.893 0.052 6.738
Cr 0.874 3.939 2.264
Cr 2.961 4.043 6.686
Cr 4.727 7.930 2.211
P -2.103 5.672 8.553
P -0.337 6.301 4.079
P 2.964 1.954 0.409
P 1.198 2.037 4.884
P 2.636 5.945 4.065
P 0.870 6.028 8.540
P 4.171 1.681 4.871
P 5.937 2.310 0.396
O -2.740 4.679 7.595
O -0.973 7.294 3.121
O -0.405 4.832 3.600
O -2.171 7.142 8.075
O 0.956 5.599 1.057
O -0.810 6.374 5.532
O -0.851 1.701 7.877
O 0.915 2.290 3.402
O 0.157 1.094 5.438
O 1.924 2.897 0.963
O -0.537 5.220 8.447
O 1.229 6.753 3.972
O 3.100 0.677 1.262
O 1.334 3.315 5.736
O 2.500 4.668 3.213
O 0.734 7.306 7.688
O 2.605 1.229 4.977
O 4.371 2.762 0.503
O 1.911 5.085 7.986
O 3.677 6.888 3.511
O 2.919 5.692 5.547
O 4.685 6.281 1.073
O 4.644 1.608 3.417
O 2.878 2.383 7.892
O 6.005 0.841 0.875
O 4.239 3.151 5.349
O 4.808 0.688 5.829
O 6.574 3.303 1.354
```

---

No. 6
Diffraction record for Li5Fe2P2C2O14. The X-ray powder pattern is computed, not measured: it uses a structure optimized by DFT (PBE+U) and Cu Kα, 1.54184 Å.
Neutral-atom scattering factors, no anomalous dispersion.

Peak list (10 most intense, 10° ≤ 2θ ≤ 90°, low angle first)
2theta  intensity
10.56  83.0
17.23  17.3
19.51  43.9
21.47  69.0
26.13  37.5
27.58  100.0
35.03  16.3
35.99  26.9
40.99  26.0
56.91  19.8

Cell and atoms:
```
25
Lattice="5.087 0.000 0.000 0.117 6.470 0.000 0.901 0.089 8.381" Properties=species:S:1:pos:R:3 pbc="T T T"
Li 0.000 0.000 0.000
Li 0.075 3.164 0.070
Li 0.664 1.633 3.106
Li 2.688 4.913 1.389
Li 3.168 3.035 4.548
Fe 0.887 4.996 4.987
Fe 3.298 1.702 7.812
P 3.478 4.919 7.117
P 5.643 1.771 5.693
C 3.260 1.713 1.906
C 5.195 4.854 2.574
O 0.798 0.489 4.832
O 1.293 1.715 7.043
O 1.106 2.917 4.772
O 1.383 4.966 2.836
O 1.977 1.659 1.686
O 2.691 4.821 5.801
O 3.107 6.154 7.986
O 3.160 3.756 8.101
O 3.775 1.939 3.046
O 4.140 2.004 5.932
O 4.049 1.542 0.852
O 4.414 4.790 3.612
O 5.011 4.948 6.776
O 4.734 4.830 1.367
```

---

No. 7
Diffraction record for Sr4CaFe5O15. The X-ray powder pattern is computed, not measured: it uses a structure optimized by DFT (PBE+U) and Cu Kα, 1.54184 Å.
Neutral-atom scattering factors, no anomalous dispersion.

Peak list (10 most intense, 10° ≤ 2θ ≤ 90°, low angle first)
2theta  intensity
32.44  100.0
40.02  11.8
46.49  26.8
46.65  13.3
57.84  24.8
57.94  12.4
67.96  18.8
77.21  6.6
77.28  4.0
77.48  5.3

Cell and atoms:
```
25
Lattice="8.732 0.000 0.000 0.000 3.894 0.000 -0.013 0.000 8.740" Properties=species:S:1:pos:R:3 pbc="T T T"
Sr 0.882 0.000 1.731
Sr 2.615 0.000 5.245
Sr 6.103 0.000 3.496
Sr 7.836 0.000 7.009
Ca 4.366 0.000 0.000
Fe -0.007 1.947 4.370
Fe 1.748 1.947 7.868
Fe 3.490 1.947 2.603
Fe 5.229 1.947 6.137
Fe 6.971 1.947 0.872
O -0.007 0.000 4.370
O 0.000 1.947 0.000
O 0.886 1.947 6.134
O 1.768 1.947 3.440
O 1.812 0.000 7.880
O 2.696 1.947 0.822
O 3.510 1.947 6.974
O 3.527 0.000 2.578
O 4.359 1.947 4.370
O 5.192 0.000 6.163
O 5.208 1.947 1.766
O 6.022 1.947 7.918
O 6.906 0.000 0.860
O 6.950 1.947 5.301
O 7.832 1.947 2.606
```

---

No. 8
Diffraction record for LiVFeO4. The X-ray powder pattern is computed, not measured: it uses a structure optimized by DFT (PBE+U) and Cu Kα, 1.54184 Å.
Neutral-atom scattering factors, no anomalous dispersion.

Peak list (10 most intense, 10° ≤ 2θ ≤ 90°, low angle first)
2theta  intensity
17.99  100.0
35.20  23.1
35.60  11.4
42.44  40.4
43.34  18.8
46.97  5.9
55.88  10.7
62.13  10.2
62.51  5.5
65.20  6.9

Cell and atoms:
```
21
Lattice="5.242 0.000 0.000 -0.108 5.943 0.000 -2.597 -1.573 7.295" Properties=species:S:1:pos:R:3 pbc="T T T"
Li 0.000 0.000 0.000
Li -0.955 4.448 2.441
Li 3.406 2.790 4.803
V 1.504 2.854 2.346
V 0.826 1.338 4.837
V 0.063 -0.115 7.279
Fe -0.063 2.852 7.261
Fe 0.806 4.339 4.838
Fe 1.852 -0.100 2.464
O 0.042 2.867 3.673
O 0.910 4.394 1.285
O -0.836 4.378 6.225
O -0.650 1.372 6.006
O 1.064 1.393 1.267
O 0.251 -0.168 3.679
O 3.154 2.887 1.100
O 2.304 1.495 3.652
O 1.539 -0.104 6.034
O 2.417 4.212 3.446
O 1.544 2.912 5.960
O 3.387 -0.042 1.112
```